Simulated PXRD pattern of NaCoP3O9 for Cu Kα (weighted mean of Kα1 and Kα2), from the GGA+U geometry in OQMD.

Structure:
Cell lengths 6.0993, 6.0993, 6.0993 Å; angles 107.94, 107.94, 107.94 degrees
Fractional positions:
Na 0.0000 0.0000 0.0000
Co 0.5173 0.5173 0.5173
P 0.4085 0.9854 0.5221
P 0.5221 0.4085 0.9854
P 0.9854 0.5221 0.4085
O 0.1314 0.7452 0.3410
O 0.1345 0.3722 0.4507
O 0.3410 0.1314 0.7452
O 0.3722 0.4507 0.1345
O 0.4507 0.1345 0.3722
O 0.6074 0.9053 0.6355
O 0.6355 0.6074 0.9053
O 0.7452 0.3410 0.1314
O 0.9053 0.6355 0.6074

Main lines, sorted by position (5 to 70 degrees two-theta):
2θ = 17.07°, I = 100
2θ = 17.98°, I = 85
2θ = 24.89°, I = 34
2θ = 30.88°, I = 39
2θ = 31.41°, I = 14
2θ = 34.53°, I = 44
2θ = 36.43°, I = 20
2θ = 39.19°, I = 19
2θ = 40.49°, I = 24
2θ = 47.37°, I = 27
2θ = 60.60°, I = 11
2θ = 68.60°, I = 17